# TiCuBi
Computed powder diffractogram, Cu Kα, 1.54184 Å. Input: a DFT-relaxed cell (PBE, Alexandria).
No peak broadening, texture or thermal motion is included.

Cell and atoms:
```
data_TiCuBi
_symmetry_space_group_name_H-M 'I m m m'
_symmetry_Int_Tables_number 71
_symmetry_space_group_name_Hall '-I 2 2'
_cell_length_a 4.1380
_cell_length_b 5.8237
_cell_length_c 9.3883
_cell_angle_alpha 90.00
_cell_angle_beta 90.00
_cell_angle_gamma 90.00
loop_
_atom_site_label
_atom_site_fract_x
_atom_site_fract_y
_atom_site_fract_z
Ti1 0.0000 0.2448 0.0000
Cu1 0.0000 0.5000 0.3728
Bi1 0.0000 0.0000 0.3175
```

Main lines, by angle (2θ from 15° to 90°):
2θ = 23.5°, 3.786 Å, I = 24, hkl 1 0 1; 2θ = 26.4°, 3.373 Å, I = 47, hkl 1 1 0; 2θ = 30.7°, 2.912 Å, I = 45, hkl 0 2 0; 2θ = 32.5°, 2.757 Å, I = 33, hkl 0 1 3; 2θ = 32.7°, 2.739 Å, I = 52, hkl 1 1 2; 2θ = 36.0°, 2.496 Å, I = 100, hkl 1 0 3; 2θ = 36.3°, 2.474 Å, I = 38, hkl 0 2 2; 2θ = 39.0°, 2.308 Å, I = 59, hkl 1 2 1; 2θ = 43.8°, 2.069 Å, I = 34, hkl 2 0 0; 2θ = 48.0°, 1.895 Å, I = 47, hkl 1 2 3

# Ca2In12Au7
Computed powder diffractogram, Cu Kα, 1.54184 Å. Input: a DFT-relaxed cell (PBE, Alexandria).
No peak broadening, texture or thermal motion is included.

Cell and atoms:
```
data_Ca2In12Au7
_symmetry_space_group_name_H-M 'P -6'
_symmetry_Int_Tables_number 174
_symmetry_space_group_name_Hall 'P -6'
_cell_length_a 11.6048
_cell_length_b 11.6048
_cell_length_c 4.2693
_cell_angle_alpha 90.00
_cell_angle_beta 90.00
_cell_angle_gamma 120.00
loop_
_atom_site_label
_atom_site_fract_x
_atom_site_fract_y
_atom_site_fract_z
Ca1 0.0000 0.0000 0.0000
Ca2 0.3333 0.6667 0.5000
In1 0.0554 0.2863 0.5000
In2 0.1010 0.7135 0.0000
In3 0.3883 0.1692 0.0000
In4 0.5316 0.4247 0.5000
Au1 0.0938 0.4721 0.0000
Au2 0.2358 0.1933 0.5000
Au3 0.6667 0.3333 0.0000
```

Main lines, by angle (2θ from 15° to 90°):
2θ = 22.6°, 3.929 Å, I = 33, hkl 1 0 1; 2θ = 23.4°, 3.799 Å, I = 39, hkl 2 1 0; 2θ = 31.5°, 2.838 Å, I = 100, hkl 2 1 1; 2θ = 34.0°, 2.636 Å, I = 35, hkl 3 0 1; 2θ = 37.5°, 2.400 Å, I = 25, hkl 2 2 1; 2θ = 38.6°, 2.334 Å, I = 64, hkl 1 3 1; 2θ = 41.2°, 2.193 Å, I = 65, hkl 1 4 0; 2θ = 41.7°, 2.165 Å, I = 25, hkl 4 0 1; 2θ = 42.3°, 2.135 Å, I = 37, hkl 0 0 2; 2θ = 60.5°, 1.530 Å, I = 42, hkl 1 4 2

- What is the formula in the first record?
  TiCuBi